(1)
This entry pairs a crystal structure of Pu3FeSi2 with its computed PXRD pattern. Radiation: Cu Kα X-rays. Structure: DFT lattice parameters and positions (GGA-PBE).

Structure:
abc: 11.1558 4.3987 8.9081
angles: 90.00 90.00 90.00
Positions (direct):
Pu1 0.0486 0.2500 0.1298
Pu2 0.1757 0.7500 0.6441
Pu3 0.2286 0.2500 0.7908
Pu4 0.2714 0.7500 0.2908
Pu5 0.3243 0.2500 0.1441
Pu6 0.4514 0.7500 0.6298
Pu7 0.5486 0.2500 0.3702
Pu8 0.6757 0.7500 0.8559
Pu9 0.7286 0.2500 0.7092
Pu10 0.7714 0.7500 0.2092
Pu11 0.8243 0.2500 0.3559
Pu12 0.9514 0.7500 0.8702
Fe1 0.1070 0.2500 0.3978
Fe2 0.3930 0.7500 0.8978
Fe3 0.6070 0.2500 0.1022
Fe4 0.8930 0.7500 0.6022
Si1 0.0120 0.7500 0.3722
Si2 0.1966 0.7500 0.9891
Si3 0.3034 0.2500 0.4891
Si4 0.4880 0.2500 0.8722
Si5 0.5120 0.7500 0.1278
Si6 0.6966 0.7500 0.5109
Si7 0.8034 0.2500 0.0109
Si8 0.9880 0.2500 0.6278

Principal peaks in the range 2θ from 10° to 90°, sorted by position:
2θ 23.93, I 47.0; 2θ 27.70, I 56.6; 2θ 33.67, I 71.3; 2θ 36.51, I 53.1; 2θ 37.42, I 84.5; 2θ 37.56, I 100.0; 2θ 38.21, I 30.7; 2θ 41.04, I 62.0; 2θ 54.09, I 38.4; 2θ 56.90, I 31.8

(2)
This entry pairs a crystal structure of CaPmMg with its computed PXRD pattern. Radiation: Cu Kα X-rays. Structure: DFT lattice parameters and positions (GGA-PBE).

Structure:
abc: 9.4435 7.6622 9.4892
angles: 65.82 47.74 66.44
Positions (direct):
Ca1 0.1220 0.3780 0.1220
Ca2 0.1280 0.8720 0.1280
Ca3 0.3780 0.1220 0.3780
Ca4 0.8720 0.1280 0.8720
Pm1 0.3816 0.6185 0.3815
Pm2 0.6185 0.3816 0.6184
Pm3 0.6316 0.8685 0.6315
Pm4 0.8685 0.6316 0.8684
Mg1 0.9999 0.5010 0.5002
Mg2 0.2511 0.7498 0.7490
Mg3 0.5010 0.9999 0.9989
Mg4 0.7498 0.2511 0.2501

Principal peaks in the range 2θ from 10° to 90°, sorted by position:
2θ 12.89, I 47.7; 2θ 22.91, I 28.8; 2θ 23.22, I 57.2; 2θ 32.84, I 100.0; 2θ 33.32, I 19.5; 2θ 40.41, I 12.8; 2θ 40.83, I 12.5; 2θ 47.47, I 14.2; 2θ 58.63, I 21.4; 2θ 59.25, I 14.1